(1)
This entry pairs a crystal structure of Li3Mn3O8 with its calculated X-ray powder pattern. Radiation: Cu Kα (weighted mean of Kα1 and Kα2). Structure: a DFT-relaxed cell (GGA+U, Alexandria).
Neutral-atom scattering factors, no anomalous dispersion.

Top 10 peaks for 2θ = 5–70°, in order of rising 2θ:
2theta, I/Imax
18.20, 100.0
18.63, 34.1
21.42, 15.1
35.95, 12.8
36.18, 35.1
43.63, 61.2
57.29, 17.0
62.80, 17.5
64.02, 18.4
67.17, 12.4

Cell and atoms:
```
data_Li3Mn3O8
_chemical_formula_sum 'Li3 Mn3 O8'
_space_group_name_H-M_alt 'P 1'
_space_group_IT_number 1
_cell_length_a 5.920
_cell_length_b 5.920
_cell_length_c 5.920
_cell_angle_alpha 58.86
_cell_angle_beta 58.86
_cell_angle_gamma 58.86
loop_
_space_group_symop_operation_xyz
'x,y,z'
loop_
_atom_site_label
_atom_site_type_symbol
_atom_site_fract_x
_atom_site_fract_y
_atom_site_fract_z
Li1 Li 0.000 0.000 0.000
Li2 Li 0.379 0.379 0.379
Li3 Li 0.621 0.621 0.621
Mn1 Mn 0.000 0.000 0.500
Mn2 Mn 0.000 0.500 0.000
Mn3 Mn 0.500 0.000 0.000
O1 O 0.209 0.751 0.751
O2 O 0.238 0.238 0.238
O3 O 0.249 0.249 0.791
O4 O 0.249 0.791 0.249
O5 O 0.751 0.209 0.751
O6 O 0.751 0.751 0.209
O7 O 0.762 0.762 0.762
O8 O 0.791 0.249 0.249
```


(2)
This entry pairs a crystal structure of LiMnO7 with its calculated X-ray powder pattern. Radiation: Cu Kα (weighted mean of Kα1 and Kα2). Structure: a DFT-relaxed cell (GGA+U, Alexandria).
Neutral-atom scattering factors, no anomalous dispersion.

Top 10 peaks for 2θ = 5–70°, in order of rising 2θ:
2theta, I/Imax
13.90, 16.7
21.37, 100.0
24.19, 65.5
32.49, 56.4
32.63, 28.1
37.33, 26.1
40.92, 13.2
49.55, 10.6
50.41, 14.3
54.56, 25.7

Cell and atoms:
```
data_LiMnO7
_chemical_formula_sum 'Li2 Mn2 O14'
_space_group_name_H-M_alt 'P 1'
_space_group_IT_number 1
_cell_length_a 7.358
_cell_length_b 7.358
_cell_length_c 5.489
_cell_angle_alpha 90.00
_cell_angle_beta 90.00
_cell_angle_gamma 120.00
loop_
_space_group_symop_operation_xyz
'x,y,z'
loop_
_atom_site_label
_atom_site_type_symbol
_atom_site_fract_x
_atom_site_fract_y
_atom_site_fract_z
Li1 Li 0.000 0.000 0.000
Li2 Li 0.000 0.000 0.500
Mn1 Mn 0.333 0.667 0.297
Mn2 Mn 0.667 0.333 0.797
O1 O 0.093 0.547 0.199
O2 O 0.110 0.219 0.750
O3 O 0.110 0.890 0.750
O4 O 0.219 0.110 0.250
O5 O 0.333 0.667 0.591
O6 O 0.453 0.547 0.199
O7 O 0.453 0.907 0.199
O8 O 0.547 0.093 0.699
O9 O 0.547 0.453 0.699
O10 O 0.667 0.333 0.091
O11 O 0.781 0.890 0.750
O12 O 0.890 0.110 0.250
O13 O 0.890 0.781 0.250
O14 O 0.907 0.453 0.699
```


(3)
This entry pairs a crystal structure of Li5Mn6O16 with its calculated X-ray powder pattern. Radiation: Cu Kα (weighted mean of Kα1 and Kα2). Structure: a DFT-relaxed cell (GGA+U, Alexandria).
Neutral-atom scattering factors, no anomalous dispersion.

Top 10 peaks for 2θ = 5–70°, in order of rising 2θ:
2theta, I/Imax
18.27, 100.0
18.63, 28.1
21.44, 16.0
35.99, 11.8
36.18, 34.2
43.69, 56.8
57.44, 17.2
62.99, 15.7
64.01, 17.5
67.19, 12.4

Cell and atoms:
```
data_Li5Mn6O16
_chemical_formula_sum 'Li5 Mn6 O16'
_space_group_name_H-M_alt 'P 1'
_space_group_IT_number 1
_cell_length_a 10.276
_cell_length_b 10.276
_cell_length_c 10.276
_cell_angle_alpha 32.89
_cell_angle_beta 32.89
_cell_angle_gamma 32.89
loop_
_space_group_symop_operation_xyz
'x,y,z'
loop_
_atom_site_label
_atom_site_type_symbol
_atom_site_fract_x
_atom_site_fract_y
_atom_site_fract_z
Li1 Li 0.000 0.000 0.000
Li2 Li 0.188 0.188 0.188
Li3 Li 0.309 0.309 0.309
Li4 Li 0.691 0.691 0.691
Li5 Li 0.812 0.812 0.812
Mn1 Mn 0.250 0.250 0.750
Mn2 Mn 0.250 0.750 0.250
Mn3 Mn 0.250 0.750 0.750
Mn4 Mn 0.750 0.250 0.250
Mn5 Mn 0.750 0.250 0.750
Mn6 Mn 0.750 0.750 0.250
O1 O 0.104 0.104 0.647
O2 O 0.104 0.647 0.104
O3 O 0.119 0.119 0.119
O4 O 0.138 0.607 0.607
O5 O 0.353 0.896 0.896
O6 O 0.381 0.381 0.381
O7 O 0.393 0.393 0.862
O8 O 0.393 0.862 0.393
O9 O 0.607 0.138 0.607
O10 O 0.607 0.607 0.138
O11 O 0.619 0.619 0.619
O12 O 0.647 0.104 0.104
O13 O 0.862 0.393 0.393
O14 O 0.881 0.881 0.881
O15 O 0.896 0.353 0.896
O16 O 0.896 0.896 0.353
```


(4)
This entry pairs a crystal structure of Li13Mn2O9 with its calculated X-ray powder pattern. Radiation: Cu Kα (weighted mean of Kα1 and Kα2). Structure: a DFT-relaxed cell (GGA+U, Alexandria).
Neutral-atom scattering factors, no anomalous dispersion.

Top 10 peaks for 2θ = 5–70°, in order of rising 2θ:
2theta, I/Imax
17.91, 37.8
20.64, 28.4
20.89, 100.0
21.01, 71.1
21.68, 38.4
31.01, 32.9
32.80, 41.0
33.01, 31.9
33.27, 36.6
37.97, 24.2

Cell and atoms:
```
data_Li13Mn2O9
_chemical_formula_sum 'Li26 Mn4 O18'
_space_group_name_H-M_alt 'P 1'
_space_group_IT_number 1
_cell_length_a 5.699
_cell_length_b 8.199
_cell_length_c 10.034
_cell_angle_alpha 89.25
_cell_angle_beta 89.83
_cell_angle_gamma 89.91
loop_
_space_group_symop_operation_xyz
'x,y,z'
loop_
_atom_site_label
_atom_site_type_symbol
_atom_site_fract_x
_atom_site_fract_y
_atom_site_fract_z
Li1 Li 0.000 0.000 0.000
Li2 Li 0.000 0.486 0.333
Li3 Li 0.009 0.487 0.959
Li4 Li 0.022 0.009 0.650
Li5 Li 0.123 0.219 0.841
Li6 Li 0.161 0.682 0.797
Li7 Li 0.169 0.674 0.499
Li8 Li 0.190 0.213 0.134
Li9 Li 0.327 0.364 0.656
Li10 Li 0.340 0.839 0.321
Li11 Li 0.346 0.848 0.970
Li12 Li 0.472 0.014 0.780
Li13 Li 0.472 0.483 0.151
Li14 Li 0.488 0.498 0.844
Li15 Li 0.513 0.480 0.454
Li16 Li 0.515 0.005 0.486
Li17 Li 0.532 0.997 0.147
Li18 Li 0.662 0.212 0.317
Li19 Li 0.686 0.678 0.292
Li20 Li 0.688 0.684 0.004
Li21 Li 0.698 0.219 0.636
Li22 Li 0.834 0.858 0.822
Li23 Li 0.836 0.368 0.149
Li24 Li 0.857 0.850 0.470
Li25 Li 0.959 0.481 0.658
Li26 Li 0.981 0.997 0.281
Mn1 Mn 0.125 0.688 0.144
Mn2 Mn 0.165 0.200 0.459
Mn3 Mn 0.617 0.695 0.646
Mn4 Mn 0.646 0.210 0.959
O1 O 0.013 0.767 0.962
O2 O 0.018 0.757 0.330
O3 O 0.144 0.441 0.148
O4 O 0.159 0.423 0.495
O5 O 0.168 0.445 0.801
O6 O 0.326 0.081 0.324
O7 O 0.327 0.085 0.970
O8 O 0.340 0.126 0.617
O9 O 0.477 0.767 0.147
O10 O 0.515 0.759 0.817
O11 O 0.524 0.756 0.470
O12 O 0.624 0.462 0.646
O13 O 0.676 0.441 0.301
O14 O 0.676 0.449 0.993
O15 O 0.821 0.094 0.800
O16 O 0.829 0.120 0.138
O17 O 0.856 0.094 0.468
O18 O 0.955 0.770 0.645
```


(5)
This entry pairs a crystal structure of Li5Mn7O15 with its calculated X-ray powder pattern. Radiation: Cu Kα (weighted mean of Kα1 and Kα2). Structure: a DFT-relaxed cell (GGA+U, Alexandria).
Neutral-atom scattering factors, no anomalous dispersion.

Top 10 peaks for 2θ = 5–70°, in order of rising 2θ:
2theta, I/Imax
9.32, 22.6
18.11, 89.2
18.40, 100.0
18.69, 37.2
34.90, 32.3
36.07, 19.1
42.59, 82.6
44.30, 37.2
62.72, 23.4
63.56, 22.6

Cell and atoms:
```
data_Li5Mn7O15
_chemical_formula_sum 'Li5 Mn7 O15'
_space_group_name_H-M_alt 'P 1'
_space_group_IT_number 1
_cell_length_a 5.931
_cell_length_b 5.931
_cell_length_c 10.005
_cell_angle_alpha 105.70
_cell_angle_beta 105.70
_cell_angle_gamma 62.08
loop_
_space_group_symop_operation_xyz
'x,y,z'
loop_
_atom_site_label
_atom_site_type_symbol
_atom_site_fract_x
_atom_site_fract_y
_atom_site_fract_z
Li1 Li 0.000 0.000 0.000
Li2 Li 0.371 0.371 0.134
Li3 Li 0.505 0.505 0.501
Li4 Li 0.889 0.889 0.668
Li5 Li 0.944 0.944 0.300
Mn1 Mn 0.187 0.187 0.561
Mn2 Mn 0.414 0.943 0.306
Mn3 Mn 0.440 0.940 0.817
Mn4 Mn 0.441 0.441 0.818
Mn5 Mn 0.694 0.694 0.074
Mn6 Mn 0.940 0.440 0.817
Mn7 Mn 0.943 0.414 0.306
O1 O 0.016 0.579 0.195
O2 O 0.069 0.069 0.194
O3 O 0.084 0.084 0.696
O4 O 0.095 0.528 0.700
O5 O 0.295 0.295 0.431
O6 O 0.309 0.860 0.445
O7 O 0.316 0.316 0.928
O8 O 0.354 0.785 0.934
O9 O 0.528 0.095 0.700
O10 O 0.564 0.564 0.707
O11 O 0.579 0.016 0.195
O12 O 0.587 0.587 0.208
O13 O 0.785 0.354 0.934
O14 O 0.795 0.795 0.938
O15 O 0.860 0.309 0.445
```


(6)
This entry pairs a crystal structure of Li4Mn3O7 with its calculated X-ray powder pattern. Radiation: Cu Kα (weighted mean of Kα1 and Kα2). Structure: a DFT-relaxed cell (GGA+U, Alexandria).
Neutral-atom scattering factors, no anomalous dispersion.

Top 10 peaks for 2θ = 5–70°, in order of rising 2θ:
2theta, I/Imax
18.18, 100.0
33.63, 15.4
36.15, 11.8
36.53, 12.1
39.96, 33.5
44.24, 27.1
44.67, 28.2
61.05, 7.5
61.19, 15.6
61.73, 7.7

Cell and atoms:
```
data_Li4Mn3O7
_chemical_formula_sum 'Li8 Mn6 O14'
_space_group_name_H-M_alt 'P 1'
_space_group_IT_number 1
_cell_length_a 5.094
_cell_length_b 5.787
_cell_length_c 9.453
_cell_angle_alpha 90.39
_cell_angle_beta 99.72
_cell_angle_gamma 106.86
loop_
_space_group_symop_operation_xyz
'x,y,z'
loop_
_atom_site_label
_atom_site_type_symbol
_atom_site_fract_x
_atom_site_fract_y
_atom_site_fract_z
Li1 Li 0.000 0.000 0.000
Li2 Li 0.000 0.500 0.000
Li3 Li 0.151 0.287 0.280
Li4 Li 0.262 0.573 0.598
Li5 Li 0.405 0.854 0.875
Li6 Li 0.595 0.146 0.125
Li7 Li 0.738 0.427 0.402
Li8 Li 0.849 0.713 0.720
Mn1 Mn 0.155 0.788 0.270
Mn2 Mn 0.281 0.072 0.574
Mn3 Mn 0.422 0.354 0.869
Mn4 Mn 0.578 0.646 0.131
Mn5 Mn 0.719 0.928 0.426
Mn6 Mn 0.845 0.212 0.730
O1 O 0.004 0.233 0.498
O2 O 0.130 0.053 0.795
O3 O 0.133 0.511 0.789
O4 O 0.313 0.812 0.074
O5 O 0.318 0.340 0.057
O6 O 0.436 0.088 0.360
O7 O 0.454 0.625 0.326
O8 O 0.546 0.375 0.674
O9 O 0.564 0.912 0.640
O10 O 0.682 0.660 0.943
O11 O 0.687 0.188 0.926
O12 O 0.867 0.489 0.211
O13 O 0.870 0.947 0.205
O14 O 0.996 0.767 0.502
```


(7)
This entry pairs a crystal structure of Li4Mn3O7 with its calculated X-ray powder pattern. Radiation: Cu Kα (weighted mean of Kα1 and Kα2). Structure: a DFT-relaxed cell (GGA+U, Alexandria).
Neutral-atom scattering factors, no anomalous dispersion.

Top 10 peaks for 2θ = 5–70°, in order of rising 2θ:
2theta, I/Imax
18.24, 100.0
33.83, 16.4
36.19, 12.0
36.40, 12.5
36.98, 9.7
40.39, 34.5
44.37, 54.9
58.45, 9.1
61.33, 16.1
61.74, 7.9

Cell and atoms:
```
data_Li4Mn3O7
_chemical_formula_sum 'Li8 Mn6 O14'
_space_group_name_H-M_alt 'P 1'
_space_group_IT_number 1
_cell_length_a 5.088
_cell_length_b 5.324
_cell_length_c 10.180
_cell_angle_alpha 95.69
_cell_angle_beta 101.56
_cell_angle_gamma 102.62
loop_
_space_group_symop_operation_xyz
'x,y,z'
loop_
_atom_site_label
_atom_site_type_symbol
_atom_site_fract_x
_atom_site_fract_y
_atom_site_fract_z
Li1 Li 0.000 0.000 0.000
Li2 Li 0.000 0.000 0.500
Li3 Li 0.135 0.296 0.296
Li4 Li 0.270 0.592 0.575
Li5 Li 0.422 0.871 0.862
Li6 Li 0.578 0.129 0.138
Li7 Li 0.730 0.408 0.425
Li8 Li 0.865 0.704 0.704
Mn1 Mn 0.143 0.264 0.777
Mn2 Mn 0.283 0.574 0.074
Mn3 Mn 0.431 0.876 0.362
Mn4 Mn 0.569 0.124 0.638
Mn5 Mn 0.717 0.426 0.926
Mn6 Mn 0.857 0.736 0.223
O1 O 0.067 0.633 0.903
O2 O 0.078 0.656 0.383
O3 O 0.206 0.933 0.192
O4 O 0.242 0.930 0.676
O5 O 0.367 0.225 0.956
O6 O 0.378 0.180 0.464
O7 O 0.496 0.557 0.258
O8 O 0.504 0.443 0.742
O9 O 0.622 0.820 0.536
O10 O 0.633 0.775 0.044
O11 O 0.758 0.070 0.324
O12 O 0.794 0.067 0.808
O13 O 0.922 0.344 0.617
O14 O 0.933 0.367 0.097
```


(8)
This entry pairs a crystal structure of Li4Mn3O7 with its calculated X-ray powder pattern. Radiation: Cu Kα (weighted mean of Kα1 and Kα2). Structure: a DFT-relaxed cell (GGA+U, Alexandria).
Neutral-atom scattering factors, no anomalous dispersion.

Top 10 peaks for 2θ = 5–70°, in order of rising 2θ:
2theta, I/Imax
18.24, 100.0
34.03, 15.9
36.16, 11.6
36.27, 11.5
40.75, 31.4
44.22, 53.7
61.47, 14.2
61.84, 7.9
61.97, 7.3
63.97, 7.2

Cell and atoms:
```
data_Li4Mn3O7
_chemical_formula_sum 'Li8 Mn6 O14'
_space_group_name_H-M_alt 'P 1'
_space_group_IT_number 1
_cell_length_a 5.087
_cell_length_b 5.109
_cell_length_c 10.525
_cell_angle_alpha 102.03
_cell_angle_beta 95.43
_cell_angle_gamma 100.92
loop_
_space_group_symop_operation_xyz
'x,y,z'
loop_
_atom_site_label
_atom_site_type_symbol
_atom_site_fract_x
_atom_site_fract_y
_atom_site_fract_z
Li1 Li 0.000 0.000 0.000
Li2 Li 0.000 0.000 0.500
Li3 Li 0.160 0.279 0.299
Li4 Li 0.261 0.580 0.567
Li5 Li 0.406 0.865 0.847
Li6 Li 0.594 0.135 0.153
Li7 Li 0.739 0.420 0.433
Li8 Li 0.840 0.721 0.701
Mn1 Mn 0.128 0.296 0.773
Mn2 Mn 0.293 0.567 0.075
Mn3 Mn 0.439 0.847 0.367
Mn4 Mn 0.561 0.153 0.633
Mn5 Mn 0.707 0.433 0.925
Mn6 Mn 0.872 0.704 0.227
O1 O 0.052 0.627 0.890
O2 O 0.107 0.644 0.395
O3 O 0.220 0.966 0.681
O4 O 0.237 0.897 0.199
O5 O 0.367 0.237 0.968
O6 O 0.381 0.185 0.470
O7 O 0.474 0.484 0.737
O8 O 0.526 0.516 0.263
O9 O 0.619 0.815 0.530
O10 O 0.633 0.763 0.032
O11 O 0.763 0.103 0.801
O12 O 0.780 0.034 0.319
O13 O 0.893 0.356 0.605
O14 O 0.948 0.373 0.110
```


(9)
This entry pairs a crystal structure of Li3MnO3 with its calculated X-ray powder pattern. Radiation: Cu Kα (weighted mean of Kα1 and Kα2). Structure: a DFT-relaxed cell (GGA+U, Alexandria).
Neutral-atom scattering factors, no anomalous dispersion.

Top 10 peaks for 2θ = 5–70°, in order of rising 2θ:
2theta, I/Imax
13.71, 50.8
21.76, 38.9
27.07, 100.0
28.81, 33.4
39.47, 43.9
40.34, 11.9
48.51, 22.7
51.76, 15.4
56.75, 35.1
66.99, 14.4

Cell and atoms:
```
data_Li3MnO3
_chemical_formula_sum 'Li12 Mn4 O12'
_space_group_name_H-M_alt 'P 1'
_space_group_IT_number 1
_cell_length_a 9.132
_cell_length_b 9.132
_cell_length_c 3.532
_cell_angle_alpha 90.00
_cell_angle_beta 90.00
_cell_angle_gamma 90.00
loop_
_space_group_symop_operation_xyz
'x,y,z'
loop_
_atom_site_label
_atom_site_type_symbol
_atom_site_fract_x
_atom_site_fract_y
_atom_site_fract_z
Li1 Li 0.094 0.356 0.000
Li2 Li 0.144 0.594 0.500
Li3 Li 0.174 0.174 0.500
Li4 Li 0.326 0.674 0.000
Li5 Li 0.356 0.094 0.000
Li6 Li 0.406 0.856 0.500
Li7 Li 0.594 0.144 0.500
Li8 Li 0.644 0.906 0.000
Li9 Li 0.674 0.326 0.000
Li10 Li 0.826 0.826 0.500
Li11 Li 0.856 0.406 0.500
Li12 Li 0.906 0.644 0.000
Mn1 Mn 0.115 0.885 0.000
Mn2 Mn 0.385 0.385 0.500
Mn3 Mn 0.615 0.615 0.500
Mn4 Mn 0.885 0.115 0.000
O1 O 0.101 0.101 0.000
O2 O 0.112 0.679 0.000
O3 O 0.179 0.388 0.500
O4 O 0.321 0.888 0.000
O5 O 0.388 0.179 0.500
O6 O 0.399 0.601 0.500
O7 O 0.601 0.399 0.500
O8 O 0.612 0.821 0.500
O9 O 0.679 0.112 0.000
O10 O 0.821 0.612 0.500
O11 O 0.888 0.321 0.000
O12 O 0.899 0.899 0.000
```